Theoretical powder XRD pattern of SmMgPtO4 for Cu Kα (weighted mean of Kα1 and Kα2), from DFT lattice parameters and positions (PBE).
Lines closer than 0.1° are merged.

Cell and atoms:
```
data_SmMgPtO4
_cell_length_a 6.578
_cell_length_b 6.578
_cell_length_c 6.578
_cell_angle_alpha 124.20
_cell_angle_beta 115.67
_cell_angle_gamma 90.26
_space_group_name_H-M_alt 'P 1'
_space_group_IT_number 1
loop_
_space_group_symop_operation_xyz
'x,y,z'
loop_
_atom_site_label
_atom_site_fract_x
_atom_site_fract_y
_atom_site_fract_z
Sm1 0.000 0.000 0.000
Sm2 0.500 0.000 0.500
Mg1 0.451 0.701 0.750
Mg2 0.549 0.299 0.250
Pt1 0.000 0.000 0.500
Pt2 0.000 0.500 0.000
O1 0.178 0.743 0.435
O2 0.191 0.257 0.935
O3 0.342 0.311 0.469
O4 0.342 0.872 0.031
O5 0.658 0.128 0.969
O6 0.658 0.689 0.531
O7 0.809 0.743 0.065
O8 0.822 0.257 0.565
```

Peak list (12 most intense, 5° ≤ 2θ ≤ 70°, by angle)
| 2θ (°) | d (Å) | I/Imax |
| --- | --- | --- |
| 15.9 | 5.590 | 100.0 |
| 17.3 | 5.130 | 70.4 |
| 30.9 | 2.892 | 36.5 |
| 31.6 | 2.830 | 37.6 |
| 32.0 | 2.795 | 77.0 |
| 33.2 | 2.696 | 45.4 |
| 35.0 | 2.565 | 43.3 |
| 38.8 | 2.320 | 28.2 |
| 39.0 | 2.312 | 58.1 |
| 43.4 | 2.083 | 31.6 |
| 50.0 | 1.824 | 22.1 |
| 56.2 | 1.638 | 33.9 |